The following is a simulated X-ray diffraction stick pattern of Li6Tl6Pb. It was derived from a PBE-relaxed structure, using λ = 1.5418 Å (Cu Kα).

Main lines, most intense first (2θ = 10–90°):
- 2.727 Å, intensity 100
- 3.591 Å, intensity 71
- 2.368 Å, intensity 70
- 4.770 Å, intensity 65
- 1.795 Å, intensity 58
- 2.628 Å, intensity 39
- 1.893 Å, intensity 25
- 2.385 Å, intensity 24
- 1.314 Å, intensity 22
- 1.575 Å, intensity 21

Structure:
```
Li6Tl6Pb
1.0
6.299 0.000 0.000
-3.149 5.455 0.000
0.000 0.000 9.539
Li Tl Pb
6 6 1
direct
0.000 0.000 0.171 Li
0.000 0.000 0.829 Li
0.333 0.667 0.000 Li
0.333 0.667 0.500 Li
0.667 0.333 0.000 Li
0.667 0.333 0.500 Li
0.000 0.500 0.251 Tl
0.000 0.500 0.749 Tl
0.500 0.000 0.251 Tl
0.500 0.000 0.749 Tl
0.500 0.500 0.251 Tl
0.500 0.500 0.749 Tl
0.000 0.000 0.500 Pb
```